1.
Diffraction record for La2S3O21. The powder XRD pattern is simulated, not measured: it uses a crystal structure in the Materials Project, relaxed with PBE and CuKα.
No peak broadening, texture or thermal motion is included.

Structure:
```
data_La2S3O21
_space_group_name_H-M_alt 'P 63/m'
_space_group_IT_number 176
_space_group_name_Hall '-P 6c'
_cell_length_a 10.5434
_cell_length_b 10.5434
_cell_length_c 8.1023
_cell_angle_alpha 90.00
_cell_angle_beta 90.00
_cell_angle_gamma 120.00
loop_
_atom_site_label
_atom_site_type_symbol
_atom_site_fract_x
_atom_site_fract_y
_atom_site_fract_z
La1 La 0.0000 0.0000 0.0000
La2 La 0.3333 0.6667 0.2500
S1 S 0.0431 0.7754 0.2500
O1 O 0.0401 0.2774 0.5961
O2 O 0.0592 0.1758 0.2500
O3 O 0.1108 0.6057 0.7500
O4 O 0.1633 0.7339 0.2500
O5 O 0.1673 0.5900 0.6141
```

Most intense lines, 2θ = 10–80°, sorted by position:
2theta  d_spacing  I/Imax
16.8  5.272  100
24.0  3.703  40
28.1  3.175  83
29.5  3.030  41
34.1  2.627  61
45.5  1.991  33

2.
Diffraction record for MgAg2Hg2O4. The powder XRD pattern is simulated, not measured: it uses a crystal structure in the Materials Project, relaxed with PBE and CuKα.
No peak broadening, texture or thermal motion is included.

Structure:
```
data_MgAg2Hg2O4
_space_group_name_H-M_alt 'P 1'
_space_group_IT_number 1
_space_group_name_Hall 'P 1'
_cell_length_a 3.5792
_cell_length_b 6.8331
_cell_length_c 7.3617
_cell_angle_alpha 69.19
_cell_angle_beta 76.21
_cell_angle_gamma 80.36
loop_
_atom_site_label
_atom_site_type_symbol
_atom_site_fract_x
_atom_site_fract_y
_atom_site_fract_z
Mg1 Mg 0.0000 0.0000 0.0000
Ag1 Ag 0.3817 0.6788 0.3423
Ag2 Ag 0.8415 0.3777 0.6378
Hg1 Hg 0.2716 0.4057 0.0750
Hg2 Hg 0.8170 0.8802 0.6443
O1 O 0.0714 0.6871 0.1165
O2 O 0.1180 0.0738 0.7065
O3 O 0.4291 0.1050 0.0689
O4 O 0.5080 0.6636 0.6211
```

Most intense lines, 2θ = 10–80°, sorted by position:
2theta  d_spacing  I/Imax
22.1  4.016  95
26.4  3.375  74
26.6  3.356  73
31.2  2.863  100
31.7  2.825  88
33.6  2.669  75

3.
Diffraction record for ZnCdPt2. The powder XRD pattern is simulated, not measured: it uses a crystal structure in the Materials Project, relaxed with PBE and CuKα.
No peak broadening, texture or thermal motion is included.

Structure:
```
data_ZnCdPt2
_space_group_name_H-M_alt 'P 4/m m m'
_space_group_IT_number 123
_space_group_name_Hall '-P 4 2'
_cell_length_a 2.9541
_cell_length_b 2.9541
_cell_length_c 7.3874
_cell_angle_alpha 90.00
_cell_angle_beta 90.00
_cell_angle_gamma 90.00
loop_
_atom_site_label
_atom_site_type_symbol
_atom_site_fract_x
_atom_site_fract_y
_atom_site_fract_z
Zn1 Zn 0.0000 0.0000 0.0000
Cd1 Cd 0.0000 0.0000 0.5000
Pt1 Pt 0.5000 0.5000 0.2247
```

Most intense lines, 2θ = 10–80°, sorted by position:
2theta  d_spacing  I/Imax
30.3  2.954  12
39.0  2.307  100
43.3  2.089  40
62.9  1.477  14
67.7  1.384  16
76.6  1.244  28

4.
Diffraction record for Li5Zn4B4O12. The powder XRD pattern is simulated, not measured: it uses a crystal structure in the Materials Project, relaxed with PBE and CuKα.
No peak broadening, texture or thermal motion is included.

Structure:
```
data_Li5Zn4B4O12
_space_group_name_H-M_alt 'P 1'
_space_group_IT_number 1
_space_group_name_Hall 'P 1'
_cell_length_a 5.1164
_cell_length_b 5.1177
_cell_length_c 11.5136
_cell_angle_alpha 88.71
_cell_angle_beta 89.29
_cell_angle_gamma 60.20
loop_
_atom_site_label
_atom_site_type_symbol
_atom_site_fract_x
_atom_site_fract_y
_atom_site_fract_z
Li1 Li 0.0000 0.0000 0.0000
Li2 Li 0.0005 0.0220 0.3704
Li3 Li 0.9463 0.0223 0.8163
Li4 Li 0.9882 0.6986 0.6117
Li5 Li 0.9950 0.6741 0.1979
Zn1 Zn 0.3031 0.3604 0.8976
Zn2 Zn 0.3076 0.0493 0.6335
Zn3 Zn 0.6333 0.3762 0.1706
Zn4 Zn 0.6487 0.6763 0.4192
B1 B 0.3193 0.3523 0.4017
B2 B 0.3197 0.0326 0.1643
B3 B 0.6349 0.3739 0.6475
B4 B 0.6374 0.6918 0.9093
O1 O 0.0522 0.0158 0.1693
O2 O 0.0561 0.6316 0.3994
O3 O 0.3001 0.3061 0.1357
O4 O 0.3043 0.0960 0.4349
O5 O 0.3457 0.9416 0.8955
O6 O 0.3593 0.3972 0.6774
O7 O 0.5922 0.3348 0.3708
O8 O 0.5919 0.7751 0.1875
O9 O 0.6521 0.6284 0.6117
O10 O 0.6763 0.4001 0.9235
O11 O 0.8888 0.7324 0.9089
O12 O 0.8973 0.0939 0.6538
```

Most intense lines, 2θ = 10–80°, sorted by position:
2theta  d_spacing  I/Imax
20.0  4.438  52
21.6  4.109  68
25.1  3.545  36
31.1  2.878  100
35.1  2.558  39
41.4  2.180  35

5.
Diffraction record for PBr. The powder XRD pattern is simulated, not measured: it uses a crystal structure in the Materials Project, relaxed with PBE and CuKα.
No peak broadening, texture or thermal motion is included.

Structure:
```
data_PBr
_space_group_name_H-M_alt 'P -1'
_space_group_IT_number 2
_space_group_name_Hall '-P 1'
_cell_length_a 4.9386
_cell_length_b 5.5889
_cell_length_c 6.3061
_cell_angle_alpha 93.19
_cell_angle_beta 96.34
_cell_angle_gamma 111.65
loop_
_atom_site_label
_atom_site_type_symbol
_atom_site_fract_x
_atom_site_fract_y
_atom_site_fract_z
P1 P 0.1407 0.9998 0.1319
Br1 Br 0.1658 0.3550 0.7428
```

Most intense lines, 2θ = 10–80°, sorted by position:
2theta  d_spacing  I/Imax
19.5  4.544  60
20.6  4.316  36
23.5  3.788  77
24.5  3.629  100
25.7  3.473  53
28.6  3.117  42